# Mn3O2F4
Simulated powder diffractogram, λ = 1.5418 Å (Cu Kα). Input: a crystal structure in the Materials Project, relaxed with PBE+U.
Lines closer than 0.1° are merged.

The 8 most intense peaks (10 to 90 degrees two-theta), in order of rising 2θ:
- 25.97°, rel. 100, (1 1 1)
- 26.70°, rel. 87, (-1 1 1)
- 33.18°, rel. 30, (1 -1 2)
- 33.56°, rel. 25, (0 2 -1)
- 33.71°, rel. 25, (0 0 3)
- 34.07°, rel. 22, (1 1 -2)
- 55.00°, rel. 17, (-2 2 2)
- 57.44°, rel. 19, (0 2 -4)

Structural model:
```
data_Mn3O2F4
_cell_length_a 4.7908
_cell_length_b 5.7739
_cell_length_c 7.9921
_cell_angle_alpha 87.21
_cell_angle_beta 87.79
_cell_angle_gamma 89.60
_space_group_name_H-M_alt 'P 1'
_space_group_IT_number 1
loop_
_space_group_symop_operation_xyz
'x,y,z'
loop_
_atom_site_label
_atom_site_type_symbol
_atom_site_fract_x
_atom_site_fract_y
_atom_site_fract_z
Mn1 Mn 0.0000 0.0000 0.0000
Mn2 Mn 0.0309 0.6681 0.3181
Mn3 Mn 0.4544 0.1692 0.3249
Mn4 Mn 0.5000 0.5000 0.0000
Mn5 Mn 0.5456 0.8308 0.6751
Mn6 Mn 0.9691 0.3319 0.6819
O1 O 0.1755 0.9493 0.2152
O2 O 0.3023 0.4735 0.2127
O3 O 0.6977 0.5265 0.7873
O4 O 0.8245 0.0507 0.7848
F1 F 0.1856 0.6168 0.5765
F2 F 0.2242 0.2982 0.9063
F3 F 0.2870 0.7979 0.8989
F4 F 0.2903 0.1354 0.5754
F5 F 0.7097 0.8646 0.4246
F6 F 0.7130 0.2021 0.1011
F7 F 0.7758 0.7018 0.0937
F8 F 0.8144 0.3832 0.4235
```


# V3O2F6
Simulated powder diffractogram, λ = 1.5418 Å (Cu Kα). Input: a crystal structure in the Materials Project, relaxed with PBE+U.
Lines closer than 0.1° are merged.

The 8 most intense peaks (10 to 90 degrees two-theta), in order of rising 2θ:
- 16.10°, rel. 26, (0 1 0)
- 17.11°, rel. 20, (0 0 2)
- 20.57°, rel. 22, (1 0 -1)
- 26.82°, rel. 100, (1 1 -1)
- 34.61°, rel. 23, (0 0 4)
- 52.40°, rel. 15, (1 -1 5)
- 52.59°, rel. 18, (1 1 -5)
- 53.34°, rel. 16, (1 3 1)

Structural model:
```
data_V3O2F6
_cell_length_a 4.7493
_cell_length_b 5.5390
_cell_length_c 10.4295
_cell_angle_alpha 83.70
_cell_angle_beta 89.71
_cell_angle_gamma 89.94
_space_group_name_H-M_alt 'P 1'
_space_group_IT_number 1
loop_
_space_group_symop_operation_xyz
'x,y,z'
loop_
_atom_site_label
_atom_site_type_symbol
_atom_site_fract_x
_atom_site_fract_y
_atom_site_fract_z
V1 V 0.0000 0.0000 0.0000
V2 V 0.0147 0.7591 0.7432
V3 V 0.4782 0.7758 0.2461
V4 V 0.5000 0.0000 0.5000
V5 V 0.5218 0.2242 0.7539
V6 V 0.9853 0.2409 0.2568
O1 O 0.2063 0.9685 0.1765
O2 O 0.3115 0.9836 0.6757
O3 O 0.6885 0.0164 0.3243
O4 O 0.7937 0.0315 0.8235
F1 F 0.1694 0.7286 0.9227
F2 F 0.1909 0.2045 0.4230
F3 F 0.2392 0.4731 0.6960
F4 F 0.2787 0.4809 0.1925
F5 F 0.3046 0.2011 0.9181
F6 F 0.3198 0.7222 0.4179
F7 F 0.6802 0.2778 0.5821
F8 F 0.6954 0.7989 0.0819
F9 F 0.7213 0.5191 0.8075
F10 F 0.7608 0.5269 0.3040
F11 F 0.8091 0.7955 0.5770
F12 F 0.8306 0.2714 0.0773
```


# KLi2MnPCO7
Simulated powder diffractogram, λ = 1.5418 Å (Cu Kα). Input: a crystal structure in the Materials Project, relaxed with PBE+U.
Lines closer than 0.1° are merged.

The 8 most intense peaks (10 to 90 degrees two-theta), in order of rising 2θ:
- 10.02°, rel. 100, (0 0 1)
- 16.35°, rel. 30, (0 1 1)
- 20.57°, rel. 31, (1 1 0)
- 25.95°, rel. 39, (0 2 0)
- 26.30°, rel. 42, (1 0 2)
- 32.24°, rel. 38, (2 0 0)
- 33.07°, rel. 50, (0 2 2)
- 40.72°, rel. 29, (0 3 1)

Structural model:
```
data_KLi2MnPCO7
_cell_length_a 5.5570
_cell_length_b 6.8671
_cell_length_c 8.8355
_cell_angle_alpha 90.00
_cell_angle_beta 92.35
_cell_angle_gamma 90.00
_space_group_name_H-M_alt 'P 1'
_space_group_IT_number 1
loop_
_space_group_symop_operation_xyz
'x,y,z'
loop_
_atom_site_label
_atom_site_type_symbol
_atom_site_fract_x
_atom_site_fract_y
_atom_site_fract_z
K1 K 0.2210 0.0000 0.2280
K2 K 0.7790 0.5000 0.7720
Li1 Li 0.2056 0.5464 0.1997
Li2 Li 0.3414 0.8960 0.8521
Li3 Li 0.6586 0.3960 0.1479
Li4 Li 0.7944 0.0464 0.8003
Mn1 Mn 0.2218 0.1959 0.6233
Mn2 Mn 0.7782 0.6959 0.3767
P1 P 0.2836 0.6868 0.5699
P2 P 0.7164 0.1868 0.4301
C1 C 0.2837 0.2359 0.9436
C2 C 0.7163 0.7359 0.0564
O1 O 0.0634 0.1793 0.9166
O2 O 0.1616 0.6810 0.4069
O3 O 0.1963 0.8701 0.6583
O4 O 0.2178 0.5051 0.6634
O5 O 0.3463 0.3289 0.0659
O6 O 0.4397 0.1997 0.4429
O7 O 0.4467 0.1876 0.8457
O8 O 0.5533 0.6876 0.1543
O9 O 0.5603 0.6997 0.5571
O10 O 0.6537 0.8289 0.9341
O11 O 0.7822 0.0051 0.3366
O12 O 0.8037 0.3701 0.3417
O13 O 0.8384 0.1810 0.5931
O14 O 0.9366 0.6793 0.0834
```


# MgMn4Fe2O8
Simulated powder diffractogram, λ = 1.5418 Å (Cu Kα). Input: a crystal structure in the Materials Project, relaxed with PBE+U.
Lines closer than 0.1° are merged.

The 8 most intense peaks (10 to 90 degrees two-theta), in order of rising 2θ:
- 17.40°, rel. 47, (1 0 0)
- 32.41°, rel. 84, (1 0 -1)
- 32.52°, rel. 83, (1 0 2)
- 33.57°, rel. 93, (1 -2 0)
- 33.66°, rel. 100, (1 2 2)
- 34.10°, rel. 99, (2 -1 1)
- 41.35°, rel. 56, (2 -2 0)
- 59.04°, rel. 45, (0 4 2)

Structural model:
```
data_MgMn4Fe2O8
_cell_length_a 6.0971
_cell_length_b 6.2582
_cell_length_c 6.3536
_cell_angle_alpha 60.70
_cell_angle_beta 61.45
_cell_angle_gamma 89.91
_space_group_name_H-M_alt 'P 1'
_space_group_IT_number 1
loop_
_space_group_symop_operation_xyz
'x,y,z'
loop_
_atom_site_label
_atom_site_type_symbol
_atom_site_fract_x
_atom_site_fract_y
_atom_site_fract_z
Mg1 Mg 0.0000 0.0000 0.0000
Mn1 Mn 0.0477 0.5537 0.8899
Mn2 Mn 0.3990 0.6477 0.2056
Mn3 Mn 0.6960 0.6980 0.5854
Mn4 Mn 0.9308 0.1995 0.5783
Fe1 Fe 0.4028 0.1357 0.1969
Fe2 Fe 0.4780 0.1848 0.6104
O1 O 0.1341 0.8728 0.2529
O2 O 0.1709 0.3831 0.6583
O3 O 0.1710 0.9497 0.6660
O4 O 0.2052 0.4268 0.1511
O5 O 0.6125 0.8862 0.7806
O6 O 0.6136 0.3183 0.7719
O7 O 0.6137 0.8684 0.2481
O8 O 0.6330 0.4058 0.1769
```


# Li2Ni5O9
Simulated powder diffractogram, λ = 1.5418 Å (Cu Kα). Input: a crystal structure in the Materials Project, relaxed with PBE+U.
Lines closer than 0.1° are merged.

The 8 most intense peaks (10 to 90 degrees two-theta), in order of rising 2θ:
- 18.32°, rel. 100, (1 0 -1)
- 36.64°, rel. 23, (0 2 -1)
- 36.93°, rel. 12, (2 1 2)
- 38.32°, rel. 20, (1 1 3)
- 44.02°, rel. 51, (1 2 -2)
- 44.57°, rel. 25, (3 1 1)
- 63.66°, rel. 13, (-3 2 2)
- 65.20°, rel. 13, (2 -1 3)

Structural model:
```
data_Li2Ni5O9
_cell_length_a 6.4816
_cell_length_b 7.5995
_cell_length_c 7.7169
_cell_angle_alpha 65.03
_cell_angle_beta 87.33
_cell_angle_gamma 65.59
_space_group_name_H-M_alt 'P 1'
_space_group_IT_number 1
loop_
_space_group_symop_operation_xyz
'x,y,z'
loop_
_atom_site_label
_atom_site_type_symbol
_atom_site_fract_x
_atom_site_fract_y
_atom_site_fract_z
Li1 Li 0.0000 0.0000 0.0000
Li2 Li 0.0921 0.5740 0.0932
Li3 Li 0.2172 0.1283 0.2120
Li4 Li 0.5542 0.8150 0.5603
Ni1 Ni 0.0938 0.0742 0.6001
Ni2 Ni 0.2084 0.6282 0.7101
Ni3 Ni 0.3225 0.1872 0.8217
Ni4 Ni 0.4338 0.7369 0.9332
Ni5 Ni 0.5551 0.2970 0.0406
Ni6 Ni 0.6492 0.3544 0.6470
Ni7 Ni 0.6495 0.8503 0.1539
Ni8 Ni 0.7628 0.4076 0.2646
Ni9 Ni 0.8747 0.9575 0.3807
Ni10 Ni 0.9945 0.5163 0.4756
O1 O 0.0653 0.3389 0.3432
O2 O 0.1312 0.7975 0.8468
O3 O 0.1803 0.8798 0.4860
O4 O 0.2424 0.3835 0.9394
O5 O 0.3119 0.4322 0.5992
O6 O 0.3335 0.9579 0.0516
O7 O 0.3976 0.9879 0.7065
O8 O 0.4626 0.4854 0.1562
O9 O 0.5140 0.5568 0.7754
O10 O 0.5708 0.0240 0.2845
O11 O 0.6545 0.1193 0.9151
O12 O 0.6699 0.5820 0.3918
O13 O 0.7368 0.6558 0.0405
O14 O 0.7835 0.1751 0.4987
O15 O 0.8629 0.2055 0.1578
O16 O 0.9067 0.7029 0.6010
O17 O 0.9610 0.7593 0.2424
O18 O 0.9926 0.2742 0.7048
```


# Ni4Mo4O19
Simulated powder diffractogram, λ = 1.5418 Å (Cu Kα). Input: a crystal structure in the Materials Project, relaxed with PBE+U.
Lines closer than 0.1° are merged.

The 8 most intense peaks (10 to 90 degrees two-theta), in order of rising 2θ:
- 13.46°, rel. 100, (1 0 0)
- 22.58°, rel. 23, (-1 1 1)
- 23.06°, rel. 26, (1 0 2)
- 26.60°, rel. 43, (1 2 1)
- 27.15°, rel. 48, (0 2 0)
- 29.33°, rel. 65, (0 0 3)
- 29.51°, rel. 20, (1 2 2)
- 30.41°, rel. 20, (1 -1 2)

Structural model:
```
data_Ni4Mo4O19
_cell_length_a 6.8296
_cell_length_b 6.9703
_cell_length_c 9.4203
_cell_angle_alpha 76.52
_cell_angle_beta 83.47
_cell_angle_gamma 74.73
_space_group_name_H-M_alt 'P 1'
_space_group_IT_number 1
loop_
_space_group_symop_operation_xyz
'x,y,z'
loop_
_atom_site_label
_atom_site_type_symbol
_atom_site_fract_x
_atom_site_fract_y
_atom_site_fract_z
Ni1 Ni 0.0000 0.0000 0.0000
Ni2 Ni 0.0255 0.1845 0.2719
Ni3 Ni 0.6413 0.5237 0.3300
Ni4 Ni 0.6672 0.7089 0.6016
Mo1 Mo 0.0795 0.6496 0.3559
Mo2 Mo 0.5870 0.0587 0.2458
Mo3 Mo 0.8319 0.1580 0.6181
Mo4 Mo 0.8342 0.5509 0.9834
O1 O 0.0346 0.9026 0.2316
O2 O 0.0458 0.0969 0.4944
O3 O 0.2766 0.9548 0.9445
O4 O 0.3240 0.1626 0.2361
O5 O 0.3401 0.3566 0.8349
O6 O 0.3424 0.5460 0.3654
O7 O 0.3906 0.7546 0.6570
O8 O 0.6204 0.6115 0.1070
O9 O 0.6317 0.8059 0.3701
O10 O 0.6714 0.9899 0.6285
O11 O 0.6871 0.0442 0.0660
O12 O 0.6903 0.4259 0.5531
O13 O 0.7052 0.2237 0.3141
O14 O 0.7421 0.5787 0.8096
O15 O 0.9244 0.1297 0.7921
O16 O 0.9613 0.4848 0.2873
O17 O 0.9763 0.2825 0.0486
O18 O 0.9790 0.6646 0.5354
O19 O 0.9950 0.7186 0.9734
```


# KSrLaWO6
Simulated powder diffractogram, λ = 1.5418 Å (Cu Kα). Input: a crystal structure in the Materials Project, relaxed with PBE+U.
Lines closer than 0.1° are merged.

The 8 most intense peaks (10 to 90 degrees two-theta), in order of rising 2θ:
- 20.77°, rel. 33, (0 0 2)
- 29.54°, rel. 100, (2 0 2)
- 42.30°, rel. 19, (0 4 0)
- 47.53°, rel. 12, (4 0 2)
- 52.41°, rel. 43, (4 2 2)
- 61.31°, rel. 17, (0 4 4)
- 69.57°, rel. 12, (6 0 2)
- 84.78°, rel. 11, (4 2 6)

Structural model:
```
data_KSrLaWO6
_cell_length_a 8.5439
_cell_length_b 8.5478
_cell_length_c 8.5672
_cell_angle_alpha 90.00
_cell_angle_beta 90.00
_cell_angle_gamma 90.00
_space_group_name_H-M_alt 'P 1'
_space_group_IT_number 1
loop_
_space_group_symop_operation_xyz
'x,y,z'
loop_
_atom_site_label
_atom_site_type_symbol
_atom_site_fract_x
_atom_site_fract_y
_atom_site_fract_z
K1 K 0.2500 0.2500 0.2500
K2 K 0.2500 0.7500 0.2500
K3 K 0.7500 0.2500 0.7500
K4 K 0.7500 0.7500 0.7500
Sr1 Sr 0.2500 0.2500 0.7500
Sr2 Sr 0.2500 0.7500 0.7500
Sr3 Sr 0.7500 0.2500 0.2500
Sr4 Sr 0.7500 0.7500 0.2500
La1 La 0.0000 0.0000 0.0000
La2 La 0.0000 0.5000 0.5000
La3 La 0.5000 0.0000 0.5000
La4 La 0.5000 0.5000 0.0000
W1 W 0.0000 0.0000 0.5000
W2 W 0.0000 0.5000 0.0000
W3 W 0.5000 0.0000 0.0000
W4 W 0.5000 0.5000 0.5000
O1 O 0.0256 0.2245 0.4682
O2 O 0.0256 0.2755 0.0318
O3 O 0.0434 0.0283 0.7254
O4 O 0.0434 0.4717 0.7746
O5 O 0.2243 0.5335 0.0206
O6 O 0.2243 0.9665 0.4794
O7 O 0.2757 0.5335 0.4794
O8 O 0.2757 0.9665 0.0206
O9 O 0.4566 0.0283 0.7746
O10 O 0.4566 0.4717 0.7254
O11 O 0.4744 0.2245 0.0318
O12 O 0.4744 0.2755 0.4682
O13 O 0.5256 0.7245 0.5318
O14 O 0.5256 0.7755 0.9682
O15 O 0.5434 0.5283 0.2746
O16 O 0.5434 0.9717 0.2254
O17 O 0.7243 0.0335 0.9794
O18 O 0.7243 0.4665 0.5206
O19 O 0.7757 0.0335 0.5206
O20 O 0.7757 0.4665 0.9794
O21 O 0.9566 0.5283 0.2254
O22 O 0.9566 0.9717 0.2746
O23 O 0.9744 0.7245 0.9682
O24 O 0.9744 0.7755 0.5318
```